No. 1
Starting from a GGA-PBE-relaxed structure, the XRD peak list of Ba6PtS was computed for a wavelength of 1.5418 Å.
Lines closer than 0.1° are merged.

Most intense lines, 2θ from 15° to 90°, sorted by position:
2θ = 15.15°, I = 23.5, hkl 1 1 0; 2θ = 23.67°, I = 16.0, hkl 0 0 2; 2θ = 25.48°, I = 100.0, hkl -1 1 1; 2θ = 32.90°, I = 42.0, hkl 2 1 3; 2θ = 39.52°, I = 32.1, hkl 3 3 2; 2θ = 42.75°, I = 25.2, hkl 1 2 4; 2θ = 46.60°, I = 12.0, hkl 3 3 4; 2θ = 47.62°, I = 17.6, hkl 4 2 1; 2θ = 52.34°, I = 11.5, hkl 2 -2 2; 2θ = 63.55°, I = 14.4, hkl 4 -1 0

Structure:
a b c (Å): 7.896 7.898 8.786
angles (deg): 63.35 63.32 60.03
Space group P-1 (No. 2)
Asymmetric unit:
Ba 0.094 0.403 0.253 x2
Ba 0.249 0.906 0.748 x2
Ba 0.404 0.750 0.253 x2
Pt 0.000 0.000 0.500 x1
S 0.500 0.500 0.000 x1

No. 2
Starting from a GGA-PBE-relaxed structure, the XRD peak list of LiTlZnBr4 was computed for a wavelength of 1.5418 Å.
Lines closer than 0.1° are merged.

Most intense lines, 2θ from 15° to 90°, sorted by position:
2θ = 15.26°, I = 68.6, hkl 1 0 -1; 2θ = 21.72°, I = 59.0, hkl 0 2 0; 2θ = 25.94°, I = 40.2, hkl 1 2 0; 2θ = 26.65°, I = 100.0, hkl 1 2 -1; 2θ = 27.59°, I = 89.5, hkl 1 0 2; 2θ = 29.72°, I = 84.3, hkl 1 1 2; 2θ = 30.03°, I = 64.7, hkl 0 2 2; 2θ = 30.81°, I = 52.6, hkl 1 0 -3; 2θ = 32.73°, I = 67.6, hkl 2 1 -2; 2θ = 52.76°, I = 47.4, hkl 1 2 4

Structure:
a b c (Å): 6.508 8.183 8.926
angles (deg): 90.00 103.73 90.00
Space group P2_1/m (No. 11)
Asymmetric unit:
Li 0.202 0.250 0.324 x2
Tl 0.310 0.250 0.919 x2
Zn 0.293 0.750 0.689 x2
Br 0.001 0.750 0.466 x2
Br 0.124 0.750 0.910 x2
Br 0.455 0.022 0.270 x4